Record 1
Simulated X-ray powder pattern of Cs3GaI6 for Cu Kα (weighted mean of Kα1 and Kα2), from a crystal structure in the Materials Project, relaxed with GGA-PBE.
Kinematic intensities with the Lorentz-polarization factor, no thermal factor.

Structural model:
a = 9.100 Å, b = 9.100 Å, c = 9.100 Å
α = 60.00°, β = 60.00°, γ = 60.00°
Sites, in units of the cell vectors:
Cs (0.000, 0.000, 0.000)
Cs (0.250, 0.250, 0.250)
Cs (0.750, 0.750, 0.750)
Ga (0.500, 0.500, 0.500)
I (0.281, 0.281, 0.719)
I (0.281, 0.719, 0.281)
I (0.281, 0.719, 0.719)
I (0.719, 0.281, 0.281)
I (0.719, 0.281, 0.719)
I (0.719, 0.719, 0.281)

Principal peaks in the range 10 to 80 degrees two-theta, sorted by position:
2θ = 19.51°, rel. 22; 2θ = 23.95°, rel. 84; 2θ = 27.73°, rel. 100; 2θ = 36.27°, rel. 20; 2θ = 39.61°, rel. 67; 2θ = 46.82°, rel. 27; 2θ = 49.04°, rel. 21; 2θ = 64.79°, rel. 22

***

Record 2
Simulated X-ray powder pattern of ErSi3Rh5 for Cu Kα (weighted mean of Kα1 and Kα2), from a crystal structure in the Materials Project, relaxed with GGA-PBE.
Kinematic intensities with the Lorentz-polarization factor, no thermal factor.

Structural model:
a = 15.625 Å, b = 15.625 Å, c = 3.875 Å
α = 90.00°, β = 90.00°, γ = 120.00°
Sites, in units of the cell vectors:
Er (0.100, 0.706, 0.250)
Er (0.294, 0.394, 0.250)
Er (0.394, 0.100, 0.750)
Er (0.606, 0.900, 0.250)
Er (0.706, 0.606, 0.750)
Er (0.900, 0.294, 0.750)
Si (0.061, 0.432, 0.250)
Si (0.119, 0.869, 0.750)
Si (0.131, 0.250, 0.750)
Si (0.239, 0.681, 0.750)
Si (0.250, 0.119, 0.250)
Si (0.319, 0.558, 0.750)
Si (0.371, 0.939, 0.250)
Si (0.432, 0.371, 0.750)
Si (0.442, 0.761, 0.750)
Si (0.558, 0.239, 0.250)
Si (0.568, 0.629, 0.250)
Si (0.629, 0.061, 0.750)
Si (0.681, 0.442, 0.250)
Si (0.750, 0.881, 0.750)
Si (0.761, 0.319, 0.250)
Si (0.869, 0.750, 0.250)
Si (0.881, 0.131, 0.250)
Si (0.939, 0.568, 0.750)
Rh (0.028, 0.888, 0.250)
Rh (0.044, 0.271, 0.250)
Rh (0.075, 0.539, 0.750)
Rh (0.112, 0.141, 0.250)
Rh (0.141, 0.028, 0.750)
Rh (0.154, 0.414, 0.750)
Rh (0.223, 0.571, 0.250)
Rh (0.227, 0.956, 0.250)
Rh (0.260, 0.846, 0.750)
Rh (0.271, 0.227, 0.750)
Rh (0.348, 0.777, 0.250)
Rh (0.414, 0.260, 0.250)
Rh (0.429, 0.652, 0.250)
Rh (0.461, 0.536, 0.750)
Rh (0.464, 0.925, 0.750)
Rh (0.536, 0.075, 0.250)
Rh (0.539, 0.464, 0.250)
Rh (0.571, 0.348, 0.750)
Rh (0.586, 0.740, 0.750)
Rh (0.652, 0.223, 0.750)
Rh (0.729, 0.773, 0.250)
Rh (0.740, 0.154, 0.250)
Rh (0.773, 0.044, 0.750)
Rh (0.777, 0.429, 0.750)
Rh (0.846, 0.586, 0.250)
Rh (0.859, 0.972, 0.250)
Rh (0.888, 0.859, 0.750)
Rh (0.925, 0.461, 0.250)
Rh (0.956, 0.729, 0.750)
Rh (0.972, 0.112, 0.750)

Principal peaks in the range 10 to 80 degrees two-theta, sorted by position:
2θ = 28.76°, rel. 18; 2θ = 28.91°, rel. 8; 2θ = 35.22°, rel. 9; 2θ = 37.11°, rel. 100; 2θ = 46.89°, rel. 19; 2θ = 47.02°, rel. 10; 2θ = 50.95°, rel. 16; 2θ = 71.74°, rel. 11

***

Record 3
Simulated X-ray powder pattern of TlC4O10 for Cu Kα (weighted mean of Kα1 and Kα2), from a crystal structure in the Materials Project, relaxed with GGA-PBE.
Kinematic intensities with the Lorentz-polarization factor, no thermal factor.

Structural model:
a = 6.775 Å, b = 8.391 Å, c = 12.769 Å
α = 74.30°, β = 89.58°, γ = 84.98°
Sites, in units of the cell vectors:
Tl (0.150, 0.389, 0.273)
Tl (0.850, 0.611, 0.727)
C (0.239, 0.784, 0.365)
C (0.284, 0.973, 0.600)
C (0.356, 0.496, 0.878)
C (0.489, 0.082, 0.117)
C (0.511, 0.918, 0.883)
C (0.644, 0.504, 0.122)
C (0.716, 0.027, 0.400)
C (0.761, 0.216, 0.635)
O (0.012, 0.330, 0.785)
O (0.125, 0.403, 0.701)
O (0.204, 0.927, 0.323)
O (0.228, 0.583, 0.901)
O (0.242, 0.103, 0.538)
O (0.278, 0.643, 0.410)
O (0.327, 0.841, 0.660)
O (0.360, 0.188, 0.088)
O (0.382, 0.023, 0.854)
O (0.488, 0.411, 0.855)
O (0.512, 0.589, 0.145)
O (0.618, 0.977, 0.146)
O (0.640, 0.812, 0.912)
O (0.673, 0.159, 0.340)
O (0.722, 0.357, 0.590)
O (0.758, 0.897, 0.462)
O (0.772, 0.417, 0.099)
O (0.796, 0.073, 0.677)
O (0.875, 0.597, 0.299)
O (0.988, 0.670, 0.215)

Principal peaks in the range 10 to 80 degrees two-theta, sorted by position:
2θ = 11.00°, rel. 78; 2θ = 14.41°, rel. 100; 2θ = 15.09°, rel. 75; 2θ = 16.38°, rel. 67; 2θ = 19.37°, rel. 54; 2θ = 20.46°, rel. 58; 2θ = 25.61°, rel. 69; 2θ = 27.30°, rel. 51

***

Record 4
Simulated X-ray powder pattern of HoSi2Pd2 for Cu Kα (weighted mean of Kα1 and Kα2), from a crystal structure in the Materials Project, relaxed with GGA-PBE.
Kinematic intensities with the Lorentz-polarization factor, no thermal factor.

Structural model:
a = 4.134 Å, b = 4.134 Å, c = 10.027 Å
α = 90.00°, β = 90.00°, γ = 90.00°
Sites, in units of the cell vectors:
Ho (0.000, 0.000, 0.000)
Ho (0.500, 0.500, 0.500)
Si (0.000, 0.000, 0.385)
Si (0.000, 0.000, 0.615)
Si (0.500, 0.500, 0.115)
Si (0.500, 0.500, 0.885)
Pd (0.000, 0.500, 0.250)
Pd (0.000, 0.500, 0.750)
Pd (0.500, 0.000, 0.250)
Pd (0.500, 0.000, 0.750)

Principal peaks in the range 10 to 80 degrees two-theta, sorted by position:
2θ = 23.27°, rel. 27; 2θ = 34.51°, rel. 28; 2θ = 35.55°, rel. 100; 2θ = 35.82°, rel. 17; 2θ = 43.80°, rel. 35; 2θ = 57.82°, rel. 17; 2θ = 64.20°, rel. 15; 2θ = 75.09°, rel. 22